No. 1
For NaMgFeSe2O8, a cell relaxed with GGA+U gives the simulated PXRD pattern in this record (Cu Kα (weighted mean of Kα1 and Kα2)).

The 10 most intense peaks (15° ≤ 2θ ≤ 90°), sorted by position:
2θ (°)  Rel. int.  index
21.43  54  0 1 -1
21.54  28  1 0 -1
22.90  52  1 0 1
23.76  80  -1 1 1
23.97  30  1 -1 1
30.24  70  1 1 0
30.48  100  0 1 -2
32.46  57  1 0 2
33.87  42  1 -2 0
34.32  56  2 -1 0

Lattice parameters (Å, degrees): 5.2708 5.3474 7.0182 91.86 92.71 112.15
Space group P1 (No. 1)
One atom of each set of equivalent atoms:
Na1 0.0000 0.0000 0.0000 x1
Mg1 0.6170 0.2809 0.2389 x1
Fe1 0.9984 0.9826 0.5452 x1
Se1 0.3787 0.6723 0.3189 x1
Se2 0.6589 0.3588 0.7499 x1
O1 0.2404 0.3370 0.2532 x1
O2 0.2417 0.7304 0.5143 x1
O3 0.3051 0.2337 0.7473 x1
O4 0.3520 0.8753 0.1494 x1
O5 0.7141 0.6974 0.3235 x1
O6 0.7602 0.1837 0.4808 x1
O7 0.7648 0.3176 0.9808 x1
O8 0.7676 0.7048 0.7460 x1



No. 2
For Cr4Co3P6O24, a cell relaxed with GGA+U gives the simulated PXRD pattern in this record (Cu Kα (weighted mean of Kα1 and Kα2)).

The 10 most intense peaks (15° ≤ 2θ ≤ 90°), sorted by position:
2θ (°)  Rel. int.  index
18.58  23  -1 1 1
20.48  33  1 -1 1
28.63  32  2 0 -1
29.65  21  2 -1 0
29.91  100  0 2 1
30.04  84  0 1 -3
30.90  33  1 -2 2
33.37  19  2 1 -2
34.24  28  1 2 -3
35.57  17  0 3 -2

Lattice parameters (Å, degrees): 6.3723 7.9623 9.4115 105.21 108.32 101.56
Space group P-1 (No. 2)
One atom of each set of equivalent atoms:
Cr1 0.0499 0.2171 0.0238 x2
Cr2 0.3801 0.9570 0.6092 x2
Co1 0.0000 0.5000 0.5000 x1
Co2 0.2967 0.3125 0.7959 x2
P1 0.0940 0.0962 0.3332 x2
P2 0.2218 0.6464 0.2660 x2
P3 0.3910 0.7324 0.8659 x2
O1 0.0095 0.6851 0.1559 x2
O2 0.0712 0.0482 0.1551 x2
O3 0.1172 0.2912 0.4155 x2
O4 0.1203 0.0357 0.6611 x2
O5 0.2097 0.4478 0.2042 x2
O6 0.2216 0.6983 0.4392 x2
O7 0.2490 0.7856 0.9641 x2
O8 0.2688 0.5357 0.7381 x2
O9 0.3146 0.0433 0.4189 x2
O10 0.3710 0.2619 0.0085 x2
O11 0.4479 0.8663 0.7834 x2
O12 0.4521 0.7670 0.2692 x2



No. 3
For Li4NiP6O18, a cell relaxed with GGA+U gives the simulated PXRD pattern in this record (Cu Kα (weighted mean of Kα1 and Kα2)).

The 10 most intense peaks (15° ≤ 2θ ≤ 90°), sorted by position:
2θ (°)  Rel. int.  index
18.26  38  1 1 -2
18.56  89  2 0 -2
19.87  41  2 0 2
24.94  51  3 1 -1
26.99  46  3 1 -2
28.18  62  2 2 1
30.09  100  0 2 3
30.35  62  2 0 4
32.51  45  4 0 2
38.13  52  4 2 1

Lattice parameters (Å, degrees): 12.3849 7.7412 13.9268 90.00 93.88 90.00
Space group C2/c (No. 15)
One atom of each set of equivalent atoms:
Li1 0.1688 0.1302 0.4238 x8
Li2 0.1707 0.3872 0.9532 x8
Ni1 0.0000 0.3703 0.2500 x4
P1 0.0847 0.3167 0.6117 x8
P2 0.0914 0.0569 0.1151 x8
P3 0.2337 0.1378 0.7525 x8
O1 0.0044 0.4411 0.8689 x8
O2 0.0059 0.1875 0.1347 x8
O3 0.0291 0.1270 0.6004 x8
O4 0.1571 0.2949 0.7117 x8
O5 0.1570 0.3471 0.5304 x8
O6 0.1614 0.0260 0.2149 x8
O7 0.1628 0.3575 0.2991 x8
O8 0.1649 0.0816 0.0345 x8
O9 0.2351 0.1357 0.8593 x8



No. 4
For Ba2VO4, a cell relaxed with GGA+U gives the simulated PXRD pattern in this record (Cu Kα (weighted mean of Kα1 and Kα2)).

The 10 most intense peaks (15° ≤ 2θ ≤ 90°), sorted by position:
2θ (°)  Rel. int.  index
25.74  24  1 1 -3
26.97  24  1 2 -1
27.99  55  1 2 0
28.33  44  1 0 2
28.61  100  2 0 -2
30.33  29  1 0 -4
34.52  15  0 2 3
35.60  20  0 3 1
39.86  17  2 2 0
46.76  15  2 3 -3

Lattice parameters (Å, degrees): 6.2603 7.7949 11.7883 90.00 117.48 90.00
Space group P2_1/c (No. 14)
One atom of each set of equivalent atoms:
Ba1 0.0224 0.0049 0.3018 x4
Ba2 0.3113 0.6586 0.5729 x4
V1 0.3416 0.2198 0.5819 x4
O1 0.1411 0.1732 0.1334 x4
O2 0.2568 0.1748 0.9268 x4
O3 0.2809 0.5071 0.0784 x4
O4 0.3340 0.7466 0.3262 x4



No. 5
For Ba2CaFe2CoF14, a cell relaxed with GGA+U gives the simulated PXRD pattern in this record (Cu Kα (weighted mean of Kα1 and Kα2)).

The 10 most intense peaks (15° ≤ 2θ ≤ 90°), sorted by position:
2θ (°)  Rel. int.  index
21.23  20  1 1 2
23.61  29  0 0 4
25.24  100  3 1 0
26.65  25  2 0 -4
27.74  31  3 1 -2
29.44  33  1 1 -4
29.68  30  1 1 4
32.97  23  0 2 0
40.96  49  6 0 2
43.28  26  5 1 -4

Lattice parameters (Å, degrees): 13.9237 5.4328 15.0746 90.00 91.28 90.00
Space group C2/c (No. 15)
One atom of each set of equivalent atoms:
Ba1 0.1915 0.0470 0.1198 x8
Ca1 0.0000 0.4416 0.7500 x4
Fe1 0.1178 0.0064 0.3767 x8
Co1 0.0000 0.5000 0.0000 x4
F1 0.0110 0.0884 0.6582 x8
F2 0.0560 0.4182 0.1188 x8
F3 0.0821 0.1872 0.4841 x8
F4 0.1254 0.2860 0.2971 x8
F5 0.1249 0.2958 0.9520 x8
F6 0.1618 0.2092 0.7784 x8
F7 0.2502 0.0566 0.4141 x8



No. 6
For MgV4Zn2O12, a cell relaxed with GGA+U gives the simulated PXRD pattern in this record (Cu Kα (weighted mean of Kα1 and Kα2)).

The 10 most intense peaks (15° ≤ 2θ ≤ 90°), sorted by position:
2θ (°)  Rel. int.  index
20.19  22  0 1 1
21.11  32  1 0 1
33.55  23  0 2 0
33.70  100  1 1 -2
39.98  10  1 -2 1
41.44  21  2 1 -1
46.88  12  0 0 4
49.88  26  2 2 0
58.88  15  0 2 4
60.08  18  1 3 -2

Lattice parameters (Å, degrees): 5.0159 5.3417 7.7519 90.01 90.19 90.01
Space group P1 (No. 1)
One atom of each set of equivalent atoms:
Mg1 0.0000 0.0000 0.0000 x1
V1 0.4259 0.0014 0.2748 x1
V2 0.4543 0.0014 0.7628 x1
V3 0.9040 0.5015 0.7546 x1
V4 0.9544 0.5014 0.2870 x1
Zn1 0.3711 0.5005 0.9955 x1
Zn2 0.8924 0.0022 0.4968 x1
O1 0.0782 0.5010 0.4863 x1
O2 0.1818 0.2521 0.8167 x1
O3 0.1833 0.7491 0.8167 x1
O4 0.1919 0.2549 0.1665 x1
O5 0.1935 0.7465 0.1665 x1
O6 0.2884 0.0009 0.4831 x1
O7 0.5984 0.0018 0.9700 x1
O8 0.7112 0.2454 0.6638 x1
O9 0.7129 0.7589 0.6641 x1
O10 0.7174 0.2439 0.3016 x1
O11 0.7197 0.7614 0.3016 x1
O12 0.7621 0.5020 0.9586 x1



No. 7
For KPrMnWO6, a cell relaxed with GGA+U gives the simulated PXRD pattern in this record (Cu Kα (weighted mean of Kα1 and Kα2)).

The 10 most intense peaks (15° ≤ 2θ ≤ 90°), sorted by position:
2θ (°)  Rel. int.  index
18.92  40  1 1 1
31.13  100  2 2 0
36.68  22  3 1 1
44.60  32  4 0 0
48.85  9  3 3 1
55.39  39  4 2 2
59.07  9  5 1 1
64.91  19  4 4 0
68.28  8  5 3 1
73.74  17  6 2 0

Lattice parameters (Å, degrees): 8.1262 8.1262 8.1262 90.00 90.00 90.00
Space group F-43m (No. 216)
One atom of each set of equivalent atoms:
K1 0.0000 0.0000 0.0000 x4
Pr1 0.0000 0.0000 0.5000 x4
Mn1 0.2500 0.2500 0.2500 x4
W1 0.2500 0.2500 0.7500 x4
O1 0.0112 0.2500 0.7500 x24



No. 8
For Ti3Mn2FeP6O24, a cell relaxed with GGA+U gives the simulated PXRD pattern in this record (Cu Kα (weighted mean of Kα1 and Kα2)).

The 10 most intense peaks (15° ≤ 2θ ≤ 90°), sorted by position:
2θ (°)  Rel. int.  index
20.46  72  1 1 0
24.06  100  2 -1 3
25.13  15  2 0 2
31.76  15  2 1 1
32.69  71  1 1 6
35.81  32  3 0 0
46.89  25  1 2 8
49.26  26  2 2 6
56.03  21  1 4 0
62.39  17  1 4 6

Lattice parameters (Å, degrees): 8.6858 8.6858 21.1808 90.00 90.00 120.00
Space group R3 (No. 146, hexagonal axes)
One atom of each set of equivalent atoms:
Ti1 0.0000 0.0000 0.0000 x3
Ti2 0.0000 0.0000 0.2099 x3
Ti3 0.0000 0.0000 0.7066 x3
Mn1 0.0000 0.0000 0.3580 x3
Mn2 0.0000 0.0000 0.8545 x3
Fe1 0.0000 0.0000 0.4992 x3
P1 0.0378 0.3704 0.2694 x9
P2 0.0417 0.6694 0.7704 x9
O1 0.0003 0.1895 0.6628 x9
O2 0.0001 0.8115 0.1636 x9
O3 0.0014 0.2059 0.5427 x9
O4 0.0166 0.1814 0.2767 x9
O5 0.0259 0.8402 0.7757 x9
O6 0.1550 0.6820 0.7120 x9
O7 0.1626 0.6890 0.0958 x9
O8 0.1660 0.4870 0.6024 x9